No. 1
Computed powder X-ray diffraction pattern
Compound: Sr2CrH4
Radiation: Cu Kα
Structure: a cell relaxed with PBE
No peak broadening, texture or thermal motion is included.

Top 6 peaks for 10 to 80 degrees two-theta, by angle:
- 2θ = 22.4°, d 3.966, I 20, (0 0 4)
- 2θ = 29.6°, d 3.022, I 100, (1 0 3)
- 2θ = 34.4°, d 2.605, I 49, (1 1 0)
- 2θ = 37.4°, d 2.404, I 34, (1 0 5)
- 2θ = 58.5°, d 1.578, I 19, (1 1 8)
- 2θ = 58.7°, d 1.573, I 27, (2 1 3)

Structure:
abc: 3.683 3.683 15.863
angles: 90.00 90.00 90.00
Space group I4/mmm (No. 139)
Unique sites:
Sr 0.000 0.000 0.130 x4
Cr 0.000 0.000 0.500 x2
H 0.000 0.000 0.389 x4
H 0.000 0.500 0.000 x4

No. 2
Computed powder X-ray diffraction pattern
Compound: CaScH8Rh2
Radiation: Cu Kα
Structure: a cell relaxed with PBE
No peak broadening, texture or thermal motion is included.

Top 6 peaks for 10 to 80 degrees two-theta, by angle:
- 2θ = 16.8°, d 5.281, I 92, (0 0 3)
- 2θ = 30.6°, d 2.917, I 28, (1 0 4)
- 2θ = 35.1°, d 2.553, I 50, (0 1 5)
- 2θ = 36.1°, d 2.489, I 100, (1 1 0)
- 2θ = 40.0°, d 2.252, I 55, (2 -1 3)
- 2θ = 50.4°, d 1.811, I 30, (2 -1 6)

Structure:
abc: 4.9789 4.9789 15.8434
angles: 90.00 90.00 120.00
Space group R-3 (No. 148, hexagonal axes)
Unique sites:
Ca 0.0000 0.0000 0.0000 x3
Sc 0.0000 0.0000 0.5000 x3
H 0.0000 0.0000 0.3067 x6
H 0.0294 0.2878 0.8850 x18
Rh 0.0000 0.0000 0.1952 x6

No. 3
Computed powder X-ray diffraction pattern
Compound: LiMn2PN
Radiation: Cu Kα
Structure: a cell relaxed with PBE
No peak broadening, texture or thermal motion is included.

Top 6 peaks for 10 to 80 degrees two-theta, by angle:
- 2θ = 16.9°, d 5.243, I 100, (0 0 1)
- 2θ = 30.4°, d 2.942, I 12, (1 0 1)
- 2θ = 39.8°, d 2.266, I 43, (1 1 1)
- 2θ = 50.3°, d 1.814, I 30, (1 1 2)
- 2θ = 51.4°, d 1.777, I 19, (2 0 0)
- 2θ = 54.5°, d 1.683, I 15, (2 0 1)

Structure:
abc: 3.554 3.554 5.243
angles: 90.00 90.00 90.00
Space group P4mm (No. 99)
Unique sites:
Li 0.000 0.000 0.000 x1
Mn 0.000 0.500 0.473 x2
P 0.500 0.500 0.199 x1
N 0.000 0.000 0.610 x1

No. 4
Computed powder X-ray diffraction pattern
Compound: Tb2BeGaAu6
Radiation: Cu Kα
Structure: a cell relaxed with PBE
No peak broadening, texture or thermal motion is included.

Top 6 peaks for 10 to 80 degrees two-theta, by angle:
- 2θ = 28.5°, d 3.132, I 45, (0 0 2)
- 2θ = 32.7°, d 2.735, I 75, (0 2 1)
- 2θ = 35.0°, d 2.566, I 35, (2 0 0)
- 2θ = 35.7°, d 2.515, I 35, (2 2 2)
- 2θ = 37.2°, d 2.416, I 39, (0 1 -2)
- 2θ = 39.1°, d 2.301, I 100, (2 0 2)

Structure:
abc: 6.007 6.252 7.130
angles: 65.46 66.27 62.21
Space group P-1 (No. 2)
Unique sites:
Tb 0.215 0.358 0.213 x2
Be 0.500 0.500 0.500 x1
Ga 0.000 0.000 0.000 x1
Au 0.168 0.812 0.348 x2
Au 0.268 0.692 0.772 x2
Au 0.329 0.186 0.659 x2